AlFe2Ni: computed X-ray powder pattern (Cu Ka), based on a GGA-PBE-relaxed structure.
No peak broadening, texture or thermal motion is included.

Top 10 peaks for 10° ≤ 2θ ≤ 90°, by angle:
2theta, d/Å, I_rel
43.52, 2.080, 52
44.28, 2.045, 100
44.83, 2.022, 100
45.41, 1.997, 48
64.71, 1.441, 29
64.98, 1.435, 15
81.22, 1.184, 15
82.82, 1.166, 14
83.11, 1.162, 14
83.50, 1.158, 14

Crystal structure
Unit cell a=2.547 b=3.995 c=4.751 alpha=90.00 beta=99.31 gamma=90.00
Fractional coordinates of all 4 atoms:
Al  0.000  0.000  0.000
Fe  0.500  0.000  0.496
Fe  0.673  0.500  0.245
Ni  0.213  0.500  0.740

---

NpTcN4: computed X-ray powder pattern (Cu Ka), based on a GGA-PBE-relaxed structure.
No peak broadening, texture or thermal motion is included.

Top 10 peaks for 10° ≤ 2θ ≤ 90°, by angle:
2theta, d/Å, I_rel
23.48, 3.789, 35
29.24, 3.054, 100
34.44, 2.604, 23
34.77, 2.580, 16
42.38, 2.133, 15
49.01, 1.859, 15
51.38, 1.778, 21
51.61, 1.771, 15
58.96, 1.567, 17
61.48, 1.508, 16

Crystal structure
Unit cell a=5.161 b=4.869 c=6.033 alpha=90.00 beta=90.00 gamma=90.00
Fractional coordinates of all 12 atoms:
Np  0.000  0.000  0.000
Np  0.000  0.500  0.500
Tc  0.500  0.000  0.350
Tc  0.500  0.500  0.850
N  0.186  0.212  0.268
N  0.186  0.288  0.768
N  0.343  0.749  0.035
N  0.343  0.751  0.535
N  0.657  0.249  0.535
N  0.657  0.251  0.035
N  0.814  0.712  0.768
N  0.814  0.788  0.268

---

BaSr3Pd: computed X-ray powder pattern (Cu Ka), based on a GGA-PBE-relaxed structure.
No peak broadening, texture or thermal motion is included.

Top 10 peaks for 10° ≤ 2θ ≤ 90°, by angle:
2theta, d/Å, I_rel
16.76, 5.291, 25
16.98, 5.223, 29
24.49, 3.635, 30
26.29, 3.389, 39
26.43, 3.372, 40
26.53, 3.359, 44
26.69, 3.340, 100
34.33, 2.612, 60
44.50, 2.036, 25
50.18, 1.818, 26

Crystal structure
Unit cell a=7.513 b=8.456 c=8.544 alpha=117.61 beta=90.26 gamma=90.16
Fractional coordinates of all 10 atoms:
Ba  0.169  0.370  0.132
Ba  0.831  0.630  0.868
Sr  0.179  0.866  0.624
Sr  0.324  0.366  0.625
Sr  0.333  0.878  0.140
Sr  0.667  0.122  0.860
Sr  0.676  0.634  0.375
Sr  0.821  0.134  0.376
Pd  0.000  0.500  0.500
Pd  0.500  0.000  0.500

---

Ti2CrAg2S6: computed X-ray powder pattern (Cu Ka), based on a GGA-PBE-relaxed structure.
No peak broadening, texture or thermal motion is included.

Top 10 peaks for 10° ≤ 2θ ≤ 90°, by angle:
2theta, d/Å, I_rel
17.55, 5.052, 37
19.33, 4.592, 24
23.68, 3.757, 29
30.15, 2.964, 30
30.90, 2.894, 44
31.25, 2.862, 100
43.21, 2.094, 26
44.85, 2.021, 40
50.10, 1.821, 43
53.59, 1.710, 33

Crystal structure
Unit cell a=5.961 b=5.961 c=7.679 alpha=95.86 beta=95.86 gamma=120.51
Fractional coordinates of all 11 atoms:
Ti  0.156  0.844  0.000
Ti  0.844  0.156  0.000
Cr  0.500  0.500  0.000
Ag  0.343  0.657  0.500
Ag  0.657  0.343  0.500
S  0.123  0.123  0.810
S  0.224  0.554  0.184
S  0.446  0.776  0.816
S  0.554  0.224  0.184
S  0.776  0.446  0.816
S  0.877  0.877  0.190

---

Repeat the second record exactly.
NpTcN4: computed X-ray powder pattern (Cu Ka), based on a GGA-PBE-relaxed structure.
No peak broadening, texture or thermal motion is included.

Top 10 peaks for 10° ≤ 2θ ≤ 90°, by angle:
2theta, d/Å, I_rel
23.48, 3.789, 35
29.24, 3.054, 100
34.44, 2.604, 23
34.77, 2.580, 16
42.38, 2.133, 15
49.01, 1.859, 15
51.38, 1.778, 21
51.61, 1.771, 15
58.96, 1.567, 17
61.48, 1.508, 16

Crystal structure
Unit cell a=5.161 b=4.869 c=6.033 alpha=90.00 beta=90.00 gamma=90.00
Fractional coordinates of all 12 atoms:
Np  0.000  0.000  0.000
Np  0.000  0.500  0.500
Tc  0.500  0.000  0.350
Tc  0.500  0.500  0.850
N  0.186  0.212  0.268
N  0.186  0.288  0.768
N  0.343  0.749  0.035
N  0.343  0.751  0.535
N  0.657  0.249  0.535
N  0.657  0.251  0.035
N  0.814  0.712  0.768
N  0.814  0.788  0.268